Diffraction record for Nd6Ho2Er. The powder X-ray diffraction pattern is calculated, not measured: it uses the PBE geometry in Alexandria and Cu Ka.
Lines closer than 0.1° are merged.

Most intense lines, 10 to 90 degrees two-theta, most intense first:
d (Å), Rel. int., (hkl)
2.856, 1000, 4 2 1
3.013, 625, 1 1 -2
2.935, 591, 5 1 -1
2.961, 479, 0 4 0
2.446, 326, 1 3 -2
2.404, 286, 5 3 -1
1.671, 216, 6 2 -3
1.849, 141, 3 1 3
1.796, 126, 9 1 0
1.689, 122, 4 6 1

Crystal structure
```
data_Nd6Ho2Er
_cell_length_a 16.4436
_cell_length_b 11.8459
_cell_length_c 6.2539
_cell_angle_alpha 90.00
_cell_angle_beta 96.10
_cell_angle_gamma 90.00
_space_group_name_H-M_alt 'C 1 2/c 1'
_space_group_IT_number 15
_space_group_name_Hall '-C 2yc'
loop_
_atom_site_label
_atom_site_fract_x
_atom_site_fract_y
_atom_site_fract_z
Nd1 0.0476 0.1407 0.0136
Nd2 0.1186 0.3592 0.3198
Nd3 0.2140 0.3594 0.8470
Ho1 0.1669 0.0995 0.5834
Er1 0.0000 0.4003 0.7500
```

---

Diffraction record for KHoMgF6. The powder X-ray diffraction pattern is calculated, not measured: it uses the PBE geometry in Alexandria and Cu Ka.
Lines closer than 0.1° are merged.

Most intense lines, 10 to 90 degrees two-theta, most intense first:
d (Å), Rel. int., (hkl)
5.841, 1000, 1 0 1
3.162, 604, 1 2 1
5.105, 433, 0 0 2
2.378, 371, 1 2 3
1.816, 370, 2 2 4
3.027, 327, 0 2 2
2.921, 325, 2 0 2
3.070, 276, 1 0 3
1.970, 200, 3 2 1
3.561, 142, 2 0 0

Crystal structure
```
data_KHoMgF6
_cell_length_a 7.1219
_cell_length_b 7.5204
_cell_length_c 10.2092
_cell_angle_alpha 90.00
_cell_angle_beta 90.00
_cell_angle_gamma 90.00
_space_group_name_H-M_alt 'I m m a'
_space_group_IT_number 74
_space_group_name_Hall '-I 2b 2'
loop_
_atom_site_label
_atom_site_fract_x
_atom_site_fract_y
_atom_site_fract_z
K1 0.0000 0.2500 0.0877
Ho1 0.0000 0.0000 0.5000
Mg1 0.2500 0.2500 0.7500
F1 0.0000 0.2500 0.3892
F2 0.0000 0.2500 0.6668
F3 0.2319 0.0551 0.8837
```

---

Diffraction record for YFeRu2. The powder X-ray diffraction pattern is calculated, not measured: it uses the PBE geometry in Alexandria and Cu Ka.
Lines closer than 0.1° are merged.

Most intense lines, 10 to 90 degrees two-theta, most intense first:
d (Å), Rel. int., (hkl)
2.234, 1000, 1 1 2
2.358, 318, 0 2 0
2.262, 203, 0 0 4
1.336, 181, 1 3 2
1.632, 142, 0 2 4
1.300, 139, 1 1 6
2.540, 121, 0 1 3
1.285, 86, 2 2 0
1.117, 80, 2 2 4
1.532, 79, 2 0 0

Crystal structure
```
data_YFeRu2
_cell_length_a 3.0650
_cell_length_b 4.7159
_cell_length_c 9.0460
_cell_angle_alpha 90.00
_cell_angle_beta 90.00
_cell_angle_gamma 90.00
_space_group_name_H-M_alt 'I m m m'
_space_group_IT_number 71
_space_group_name_Hall '-I 2 2'
loop_
_atom_site_label
_atom_site_fract_x
_atom_site_fract_y
_atom_site_fract_z
Y1 0.0000 0.0000 0.0000
Fe1 0.0000 0.0000 0.5000
Ru1 0.0000 0.5000 0.2207
```